Structure and simulated powder diffractogram of PrMg5Au6 (a GGA-PBE-relaxed structure; a wavelength of 1.5418 Å).
Lines closer than 0.1° are merged.

Atomic structure:
Unit cell a=4.7979 b=6.8680 c=7.5778 alpha=90.00 beta=108.19 gamma=90.00
Space group P2/m (No. 10)
Asymmetric unit:
1 Pr 0.0000 0.0000 0.0000
2 Mg 0.0000 0.5000 0.0000
3 Mg 0.3268 0.0000 0.6549
4 Mg 0.3336 0.5000 0.6743
5 Au 0.1777 0.2663 0.3493
6 Au 0.5000 0.2762 0.0000

Peak list (10 most intense, 10 to 90 degrees two-theta, in order of falling intensity)
index	2θ/deg	I (rel.)
1 2 -2	37.25	100
2 0 -1	37.48	51
1 0 1	26.20	25
1 0 -2	26.33	25
0 2 0	25.95	24
2 2 -1	46.15	21
3 2 -3	67.57	17
3 2 0	67.39	17
2 4 -1	67.03	15
3 0 0	61.00	9

Structure and simulated powder diffractogram of ZrMnCu2 (a GGA-PBE-relaxed structure; a wavelength of 1.5418 Å).
Lines closer than 0.1° are merged.

Atomic structure:
Unit cell a=3.8382 b=3.8560 c=8.0072 alpha=90.00 beta=90.00 gamma=90.00
Space group Imm2 (No. 44)
Asymmetric unit:
1 Zr 0.0000 0.0000 0.0000
2 Mn 0.0000 0.5000 0.2498
3 Cu 0.0000 0.0000 0.4995
4 Cu 0.0000 0.5000 0.7503

Peak list (10 most intense, 10 to 90 degrees two-theta, in order of falling intensity)
index	2θ/deg	I (rel.)
1 1 2	40.07	100
0 0 4	45.30	17
0 2 0	47.14	15
2 0 0	47.37	15
1 1 6	80.10	12
1 3 2	82.78	11
3 1 2	83.12	10
0 2 4	67.44	10
2 0 4	67.63	10
2 2 4	86.51	10

Structure and simulated powder diffractogram of Zr3CdPd5 (a GGA-PBE-relaxed structure; a wavelength of 1.5418 Å).
Lines closer than 0.1° are merged.

Atomic structure:
Unit cell a=8.1560 b=8.1560 c=5.6602 alpha=90.00 beta=90.00 gamma=120.00
Space group P6_3/mcm (No. 193)
Asymmetric unit:
1 Zr 0.0000 0.3522 0.2500
2 Cd 0.0000 0.0000 0.0000
3 Pd 0.0000 0.3221 0.7500
4 Pd 0.3333 0.6667 0.0000

Peak list (10 most intense, 10 to 90 degrees two-theta, in order of falling intensity)
index	2θ/deg	I (rel.)
3 0 0	38.23	100
1 1 2	38.73	91
2 2 2	55.55	30
4 1 2	69.43	30
3 0 4	78.93	23
3 3 0	69.10	16
6 0 0	81.82	9
3 0 2	50.42	7
0 0 4	66.02	7
0 0 2	31.61	5